1.
Structure and simulated powder diffraction line list of AgF4 (a cell relaxed with GGA-PBE; Cu Kα).
Neutral-atom scattering factors, no anomalous dispersion.

Largest 10 diffraction maxima, by intensity, 10 to 90 degrees two-theta:
- 2θ = 27.8°, rel. 100
- 2θ = 29.0°, rel. 57
- 2θ = 48.4°, rel. 45
- 2θ = 46.9°, rel. 44
- 2θ = 24.6°, rel. 41
- 2θ = 43.6°, rel. 33
- 2θ = 50.6°, rel. 20
- 2θ = 82.4°, rel. 14
- 2θ = 68.8°, rel. 12
- 2θ = 55.8°, rel. 11

Unit cell a=3.840 b=3.840 c=4.621 alpha=121.53 beta=121.53 gamma=65.50
Fractional coordinates of all 5 atoms:
Ag: 0.000 0.000 0.000
F: 0.179 0.179 0.525
F: 0.360 0.360 0.148
F: 0.640 0.640 0.852
F: 0.821 0.821 0.475

---

2.
Structure and simulated powder diffraction line list of Ag2F5 (a cell relaxed with GGA-PBE; Cu Kα).
Neutral-atom scattering factors, no anomalous dispersion.

Largest 10 diffraction maxima, by intensity, 10 to 90 degrees two-theta:
- 2θ = 26.0°, rel. 100
- 2θ = 30.5°, rel. 55
- 2θ = 28.4°, rel. 32
- 2θ = 50.0°, rel. 24
- 2θ = 40.3°, rel. 18
- 2θ = 33.5°, rel. 16
- 2θ = 36.1°, rel. 16
- 2θ = 56.4°, rel. 14
- 2θ = 55.5°, rel. 13
- 2θ = 44.6°, rel. 13

Unit cell a=4.605 b=7.215 c=10.700 alpha=89.81 beta=89.87 gamma=76.40
Fractional coordinates of all 28 atoms:
Ag: 0.000 0.000 0.000
Ag: 0.000 0.000 0.500
Ag: 0.000 0.500 0.000
Ag: 0.000 0.500 0.500
Ag: 0.439 0.223 0.254
Ag: 0.462 0.706 0.234
Ag: 0.538 0.294 0.766
Ag: 0.561 0.777 0.746
F: 0.010 0.338 0.851
F: 0.041 0.368 0.332
F: 0.109 0.234 0.585
F: 0.164 0.256 0.090
F: 0.194 0.951 0.826
F: 0.326 0.949 0.324
F: 0.356 0.822 0.572
F: 0.418 0.857 0.076
F: 0.432 0.536 0.864
F: 0.480 0.552 0.385
F: 0.520 0.448 0.615
F: 0.568 0.464 0.136
F: 0.582 0.143 0.924
F: 0.644 0.178 0.428
F: 0.674 0.051 0.676
F: 0.806 0.049 0.174
F: 0.836 0.744 0.910
F: 0.891 0.766 0.415
F: 0.959 0.632 0.668
F: 0.990 0.662 0.149